[1]
# K2TmCd3Hg12
Theoretical PXRD pattern, Cu Kα X-rays. Input: a DFT-relaxed cell (GGA-PBE, Alexandria).
Neutral-atom scattering factors, no anomalous dispersion.

Atomic structure:
```
18
Lattice="3.462 1.999 13.044 -3.462 1.999 13.044 0.000 -3.997 13.044" Properties=species:S:1:pos:R:3 pbc="T T T"
K 0.000 0.000 5.449
K 0.000 0.000 33.684
Tm 0.000 0.000 19.566
Cd -1.731 -0.999 13.044
Cd -1.731 0.999 26.088
Cd 0.000 1.999 13.044
Hg 0.000 -2.224 10.951
Hg -1.926 1.112 10.951
Hg -1.743 -1.006 17.348
Hg -1.926 -1.112 28.182
Hg 0.000 -2.012 21.784
Hg -1.743 1.006 21.784
Hg 1.743 -1.006 17.348
Hg 0.000 2.012 17.348
Hg 1.926 1.112 10.951
Hg 1.743 1.006 21.784
Hg 1.926 -1.112 28.182
Hg 0.000 2.224 28.182
```

Top 8 peaks for 2θ from 10° to 90°, by angle:
17.35 deg, I 44; 29.20 deg, I 24; 31.20 deg, I 75; 35.11 deg, I 100; 37.80 deg, I 69; 41.53 deg, I 33; 52.90 deg, I 43; 69.40 deg, I 34

[2]
# Ce6MnAu2
Theoretical PXRD pattern, Cu Kα X-rays. Input: a DFT-relaxed cell (GGA-PBE, Alexandria).
Neutral-atom scattering factors, no anomalous dispersion.

Atomic structure:
```
9
Lattice="3.619 0.000 0.000 0.000 7.519 4.047 0.000 -7.519 4.047" Properties=species:S:1:pos:R:3 pbc="T T T"
Ce 0.000 0.000 0.000
Ce 0.000 -1.710 2.960
Ce 0.000 1.710 2.960
Ce 1.809 -4.632 4.331
Ce 1.809 0.000 5.656
Ce 1.809 4.632 4.331
Mn 1.809 0.000 2.506
Au 0.000 -2.619 5.930
Au 0.000 2.619 5.930
```

Top 8 peaks for 2θ from 10° to 90°, by angle:
31.74 deg, I 42; 32.46 deg, I 100; 33.21 deg, I 22; 33.75 deg, I 43; 35.35 deg, I 68; 35.83 deg, I 19; 50.44 deg, I 21; 59.99 deg, I 22